1.
This entry pairs a crystal structure of Ba3Al2Si2 with its calculated X-ray diffraction stick pattern. Radiation: copper Kα. Structure: DFT lattice parameters and positions (GGA-PBE).

Unit cell a=4.3132 b=5.1336 c=20.0870 alpha=90.00 beta=90.00 gamma=90.00
Space group Immm (No. 71)
Asymmetric unit:
Ba1 0.0000 0.0000 0.0000 [2 per cell]
Ba2 0.0000 0.5000 0.3154 [4 per cell]
Al1 0.0000 0.0000 0.4350 [4 per cell]
Si1 0.0000 0.5000 0.1332 [4 per cell]

Main lines, in order of rising 2θ (15° ≤ 2θ ≤ 90°):
2θ/deg  I/Imax  h k l
24.55  56  1 0 3
28.21  71  0 1 5
28.45  100  1 1 2
34.96  29  0 2 0
43.18  25  1 2 3
51.27  26  2 1 5

=====

2.
This entry pairs a crystal structure of BaAl2Si2 with its calculated X-ray diffraction stick pattern. Radiation: copper Kα. Structure: DFT lattice parameters and positions (GGA-PBE).

Unit cell a=4.2292 b=4.2292 c=12.8339 alpha=90.00 beta=90.00 gamma=90.00
Space group I4/mmm (No. 139)
Asymmetric unit:
Ba1 0.0000 0.0000 0.0000 [2 per cell]
Al1 0.0000 0.5000 0.2500 [4 per cell]
Si1 0.0000 0.0000 0.3622 [4 per cell]

Main lines, in order of rising 2θ (15° ≤ 2θ ≤ 90°):
2θ/deg  I/Imax  h k l
22.13  54  1 0 1
29.70  100  1 0 3
33.05  71  1 1 2
41.14  29  1 0 5
42.76  32  2 0 0
52.93  38  2 1 3

=====

3.
This entry pairs a crystal structure of BaAl2Si2 with its calculated X-ray diffraction stick pattern. Radiation: copper Kα. Structure: DFT lattice parameters and positions (GGA-PBE).

Unit cell a=10.1412 b=4.2617 c=10.9442 alpha=90.00 beta=90.00 gamma=90.00
Space group Pnma (No. 62)
Asymmetric unit:
Ba1 0.2478 0.2500 0.1748 [4 per cell]
Al1 0.0416 0.2500 0.8813 [4 per cell]
Al2 0.1007 0.2500 0.4526 [4 per cell]
Si1 0.0240 0.7500 0.3440 [4 per cell]
Si2 0.1452 0.7500 0.9587 [4 per cell]

Main lines, in order of rising 2θ (15° ≤ 2θ ≤ 90°):
2θ/deg  I/Imax  h k l
18.42  32  1 0 2
22.39  30  0 1 1
28.55  100  2 1 1
31.10  41  3 0 2
33.52  73  1 1 3
33.94  32  1 0 4

=====

4.
This entry pairs a crystal structure of BaAlSi with its calculated X-ray diffraction stick pattern. Radiation: copper Kα. Structure: DFT lattice parameters and positions (GGA-PBE).

Unit cell a=4.3216 b=4.3216 c=5.1890 alpha=90.00 beta=90.00 gamma=120.00
Space group P-6m2 (No. 187)
Asymmetric unit:
Ba1 0.0000 0.0000 0.0000 [1 per cell]
Al1 0.6667 0.3333 0.5000 [1 per cell]
Si1 0.3333 0.6667 0.5000 [1 per cell]

Main lines, in order of rising 2θ (15° ≤ 2θ ≤ 90°):
2θ/deg  I/Imax  h k l
23.77  35  1 0 0
29.43  100  1 0 1
41.80  26  1 1 0
51.94  20  2 0 1
55.33  23  1 1 2
68.79  17  2 1 1

=====

5.
This entry pairs a crystal structure of Ba5Al5Sn with its calculated X-ray diffraction stick pattern. Radiation: copper Kα. Structure: DFT lattice parameters and positions (GGA-PBE).

Unit cell a=6.1025 b=6.1025 c=11.1919 alpha=90.00 beta=90.00 gamma=120.00
Space group P-6m2 (No. 187)
Asymmetric unit:
Ba1 0.0000 0.0000 0.0000 [1 per cell]
Ba2 0.3333 0.6667 0.1995 [2 per cell]
Ba3 0.6667 0.3333 0.3281 [2 per cell]
Al1 0.0000 0.0000 0.3229 [2 per cell]
Al2 0.1784 0.3569 0.5000 [3 per cell]
Sn1 0.6667 0.3333 0.0000 [1 per cell]

Main lines, in order of rising 2θ (15° ≤ 2θ ≤ 90°):
2θ/deg  I/Imax  h k l
23.15  19  1 0 2
29.29  100  1 1 0
41.90  13  2 0 3
51.92  30  3 0 0
57.93  12  1 1 6
83.91  12  4 1 0

=====

6.
This entry pairs a crystal structure of Ba7Al6Te16 with its calculated X-ray diffraction stick pattern. Radiation: copper Kα. Structure: DFT lattice parameters and positions (GGA-PBE).

Unit cell a=7.0617 b=7.2715 c=46.2540 alpha=91.25 beta=93.85 gamma=108.71
Space group P1 (No. 1)
Asymmetric unit:
Ba1 0.0000 0.0000 0.0000 [1 per cell]
Ba2 0.0002 0.0474 0.6036 [1 per cell]
Ba3 0.0036 0.9839 0.3630 [1 per cell]
Ba4 0.0396 0.0722 0.8535 [1 per cell]
Ba5 0.0544 0.0861 0.1054 [1 per cell]
Ba6 0.0898 0.9848 0.4734 [1 per cell]
Ba7 0.0936 0.9637 0.7252 [1 per cell]
Ba8 0.4670 0.4012 0.2464 [1 per cell]
Ba9 0.4860 0.4919 0.3568 [1 per cell]
Ba10 0.5147 0.5456 0.7289 [1 per cell]
Ba11 0.5168 0.5569 0.4782 [1 per cell]
Ba12 0.5653 0.4367 0.9986 [1 per cell]
Ba13 0.5844 0.4600 0.5993 [1 per cell]
Ba14 0.6238 0.4818 0.8511 [1 per cell]
Al1 0.1641 0.6124 0.9558 [1 per cell]
Al2 0.2506 0.7092 0.6617 [1 per cell]
Al3 0.2523 0.8043 0.2984 [1 per cell]
Al4 0.2761 0.7658 0.5500 [1 per cell]
Al5 0.2938 0.7576 0.8002 [1 per cell]
Al6 0.3607 0.7887 0.0595 [1 per cell]
Al7 0.7486 0.2024 0.9272 [1 per cell]
Al8 0.7545 0.2178 0.5346 [1 per cell]
Al9 0.7724 0.2201 0.7871 [1 per cell]
Al10 0.7756 0.1359 0.1962 [1 per cell]
Al11 0.7850 0.2624 0.6755 [1 per cell]
Al12 0.7852 0.2766 0.4222 [1 per cell]
Te1 0.0216 0.5433 0.3323 [1 per cell]
Te2 0.0629 0.5526 0.5050 [1 per cell]
Te3 0.0715 0.5386 0.7558 [1 per cell]
Te4 0.1121 0.5509 0.0120 [1 per cell]
Te5 0.1212 0.5894 0.5990 [1 per cell]
Te6 0.1493 0.5968 0.8491 [1 per cell]
Te7 0.1560 0.2130 0.1805 [1 per cell]
Te8 0.1559 0.2640 0.9346 [1 per cell]
Te9 0.1628 0.2749 0.6711 [1 per cell]
Te10 0.1681 0.6298 0.1024 [1 per cell]
Te11 0.1694 0.3126 0.4200 [1 per cell]
Te12 0.2142 0.1409 0.2996 [1 per cell]
Te13 0.2753 0.1303 0.5445 [1 per cell]
Te14 0.3079 0.1314 0.7954 [1 per cell]
Te15 0.3794 0.1523 0.0542 [1 per cell]
Te16 0.4158 0.9508 0.1676 [1 per cell]
Te17 0.5059 0.9520 0.9667 [1 per cell]
Te18 0.5488 0.9136 0.2332 [1 per cell]
Te19 0.5565 0.0585 0.3786 [1 per cell]
Te20 0.5586 0.0388 0.6321 [1 per cell]
Te21 0.5813 0.0375 0.8785 [1 per cell]
Te22 0.6217 0.8053 0.2959 [1 per cell]
Te23 0.6265 0.0989 0.4718 [1 per cell]
Te24 0.6327 0.0899 0.7248 [1 per cell]
Te25 0.6542 0.7809 0.5461 [1 per cell]
Te26 0.6793 0.7823 0.7965 [1 per cell]
Te27 0.7182 0.7685 0.0547 [1 per cell]
Te28 0.7844 0.6273 0.6698 [1 per cell]
Te29 0.7972 0.6445 0.4193 [1 per cell]
Te30 0.8009 0.5953 0.9329 [1 per cell]
Te31 0.9174 0.5140 0.1994 [1 per cell]
Te32 0.9903 0.5124 0.2643 [1 per cell]

Main lines, in order of rising 2θ (15° ≤ 2θ ≤ 90°):
2θ/deg  I/Imax  h k l
25.87  80  0 2 0
26.17  100  1 -2 4
26.37  85  -2 1 4
26.72  54  2 0 0
27.37  73  1 1 8
30.72  54  2 -2 0

=====

7.
This entry pairs a crystal structure of Ba7Al6Te16 with its calculated X-ray diffraction stick pattern. Radiation: copper Kα. Structure: DFT lattice parameters and positions (GGA-PBE).

Unit cell a=7.0163 b=7.0371 c=45.9433 alpha=89.47 beta=89.49 gamma=68.38
Space group P1 (No. 1)
Asymmetric unit:
Ba1 0.0000 0.0000 0.0000 [1 per cell]
Ba2 0.0001 0.0005 0.8749 [1 per cell]
Ba3 0.0138 0.0068 0.6226 [1 per cell]
Ba4 0.0321 0.0350 0.7412 [1 per cell]
Ba5 0.4626 0.4648 0.7417 [1 per cell]
Ba6 0.4953 0.4897 0.6228 [1 per cell]
Ba7 0.4949 0.4947 0.8753 [1 per cell]
Ba8 0.4956 0.4955 0.9995 [1 per cell]
Ba9 0.5077 0.5026 0.1249 [1 per cell]
Ba10 0.5128 0.5063 0.3744 [1 per cell]
Ba11 0.5245 0.5287 0.2605 [1 per cell]
Ba12 0.9604 0.9612 0.2608 [1 per cell]
Ba13 0.9924 0.9887 0.1244 [1 per cell]
Ba14 0.9984 0.9881 0.5020 [1 per cell]
Al1 0.2325 0.2641 0.1893 [1 per cell]
Al2 0.2402 0.2348 0.3142 [1 per cell]
Al3 0.2525 0.2428 0.0617 [1 per cell]
Al4 0.2520 0.2463 0.9391 [1 per cell]
Al5 0.2550 0.2407 0.8138 [1 per cell]
Al6 0.2677 0.2478 0.5610 [1 per cell]
Al7 0.7313 0.7663 0.8106 [1 per cell]
Al8 0.7494 0.7490 0.6873 [1 per cell]
Al9 0.7514 0.7437 0.9381 [1 per cell]
Al10 0.7528 0.7403 0.1867 [1 per cell]
Al11 0.7528 0.7459 0.0617 [1 per cell]
Al12 0.7546 0.7430 0.4377 [1 per cell]
Te1 0.0078 0.4874 0.7731 [1 per cell]
Te2 0.0147 0.4730 0.5220 [1 per cell]
Te3 0.0152 0.4805 0.8566 [1 per cell]
Te4 0.0219 0.4834 0.6016 [1 per cell]
Te5 0.0342 0.4612 0.0169 [1 per cell]
Te6 0.0427 0.4528 0.1073 [1 per cell]
Te7 0.0453 0.4526 0.3572 [1 per cell]
Te8 0.0676 0.4168 0.2625 [1 per cell]
Te9 0.1393 0.7119 0.6857 [1 per cell]
Te10 0.1420 0.7171 0.9377 [1 per cell]
Te11 0.1520 0.6018 0.4401 [1 per cell]
Te12 0.1637 0.6842 0.1876 [1 per cell]
Te13 0.2738 0.8485 0.3164 [1 per cell]
Te14 0.2844 0.8505 0.0623 [1 per cell]
Te15 0.3039 0.8366 0.8127 [1 per cell]
Te16 0.3277 0.8573 0.5604 [1 per cell]
Te17 0.4699 0.0203 0.4069 [1 per cell]
Te18 0.4853 0.0182 0.4700 [1 per cell]
Te19 0.5002 0.9910 0.2271 [1 per cell]
Te20 0.5052 0.9901 0.1443 [1 per cell]
Te21 0.5342 0.9608 0.8933 [1 per cell]
Te22 0.5414 0.9538 0.9839 [1 per cell]
Te23 0.5454 0.9551 0.6429 [1 per cell]
Te24 0.5773 0.9189 0.7388 [1 per cell]
Te25 0.6295 0.1948 0.3152 [1 per cell]
Te26 0.6432 0.2167 0.0623 [1 per cell]
Te27 0.6586 0.1940 0.8124 [1 per cell]
Te28 0.6607 0.1853 0.5608 [1 per cell]
Te29 0.7836 0.3514 0.9377 [1 per cell]
Te30 0.7848 0.3604 0.6856 [1 per cell]
Te31 0.8159 0.3254 0.1875 [1 per cell]
Te32 0.8972 0.3459 0.4378 [1 per cell]

Main lines, in order of rising 2θ (15° ≤ 2θ ≤ 90°):
2θ/deg  I/Imax  h k l
26.70  67  1 2 4
26.87  100  2 1 -4
27.07  64  1 0 -12
27.41  58  -1 1 8
31.38  47  0 2 8
31.60  86  0 2 -8

=====

8.
This entry pairs a crystal structure of BeAl3 with its calculated X-ray diffraction stick pattern. Radiation: copper Kα. Structure: DFT lattice parameters and positions (GGA-PBE).

Unit cell a=3.8844 b=3.8844 c=7.7038 alpha=90.00 beta=90.00 gamma=90.00
Space group I4/mmm (No. 139)
Asymmetric unit:
Be1 0.0000 0.0000 0.0000 [2 per cell]
Al1 0.0000 0.0000 0.5000 [2 per cell]
Al2 0.0000 0.5000 0.2500 [4 per cell]

Main lines, in order of rising 2θ (15° ≤ 2θ ≤ 90°):
2θ/deg  I/Imax  h k l
25.68  19  1 0 1
40.33  100  1 1 2
46.77  32  2 0 0
47.19  16  0 0 4
68.63  20  2 0 4
82.41  24  3 1 2